No. 1
Starting from a DFT-relaxed cell (GGA-PBE, Alexandria), the powder diffractogram of KAcAg10 was computed for CuKα.

Main lines, in order of rising 2θ (2θ = 10–80°):
d [Å], I/Imax, (hkl)
3.420, 28, 1 1 1
2.504, 30, 0 2 2
2.464, 100, 1 1 3
2.457, 49, 1 2 0
2.339, 47, 2 0 0
2.207, 33, 1 2 2

Structural model:
```
data_KAcAg10
_chemical_formula_sum 'K1 Ac1 Ag10'
_cell_length_a 4.677
_cell_length_b 5.774
_cell_length_c 10.055
_cell_angle_alpha 90.00
_cell_angle_beta 90.00
_cell_angle_gamma 90.00
_space_group_name_H-M_alt 'P m m m'
_space_group_IT_number 47
loop_
_space_group_symop_operation_xyz
'x,y,z'
'-x,-y,-z'
'-x,-y,z'
'x,y,-z'
'x,-y,-z'
'-x,y,z'
'-x,y,-z'
'x,-y,z'
loop_
_atom_site_label
_atom_site_fract_x
_atom_site_fract_y
_atom_site_fract_z
K1 0.000 0.000 0.000
Ac1 0.000 0.500 0.500
Ag1 0.000 0.000 0.333
Ag2 0.000 0.500 0.168
Ag3 0.500 0.000 0.500
Ag4 0.500 0.255 0.256
Ag5 0.500 0.500 0.000
```

=====

No. 2
Starting from a DFT-relaxed cell (GGA-PBE, Alexandria), the powder diffractogram of K4Ac3AgO8 was computed for CuKα.

Main lines, in order of rising 2θ (2θ = 10–80°):
d [Å], I/Imax, (hkl)
6.461, 100, 0 0 1
3.230, 35, 0 0 2
3.127, 29, 2 2 -1
3.094, 57, 2 2 0
2.955, 40, 4 0 0
2.599, 58, 2 2 -2

Structural model:
```
data_K4Ac3AgO8
_chemical_formula_sum 'K8 Ac6 Ag2 O16'
_cell_length_a 13.641
_cell_length_b 7.263
_cell_length_c 7.456
_cell_angle_alpha 90.00
_cell_angle_beta 119.95
_cell_angle_gamma 90.00
_space_group_name_H-M_alt 'C 1 2/m 1'
_space_group_IT_number 12
loop_
_space_group_symop_operation_xyz
'x,y,z'
'-x,-y,-z'
'-x,y,-z'
'x,-y,z'
'x+1/2,y+1/2,z'
'-x+1/2,-y+1/2,-z'
'-x+1/2,y+1/2,-z'
'x+1/2,-y+1/2,z'
loop_
_atom_site_label
_atom_site_fract_x
_atom_site_fract_y
_atom_site_fract_z
K1 0.000 0.000 0.000
K2 0.000 0.500 0.000
K3 0.250 0.250 0.000
Ac1 0.000 0.000 0.500
Ac2 0.250 0.250 0.500
Ag1 0.000 0.500 0.500
O1 0.028 0.288 0.333
O2 0.212 0.000 0.253
O3 0.213 0.000 0.694
```

=====

No. 3
Starting from a DFT-relaxed cell (GGA-PBE, Alexandria), the powder diffractogram of K2AcAg3O6 was computed for CuKα.

Main lines, in order of rising 2θ (2θ = 10–80°):
d [Å], I/Imax, (hkl)
3.969, 22, 1 0 1
2.995, 100, 1 0 3
2.949, 50, 1 1 0
2.085, 27, 2 0 0
1.738, 21, 1 1 6
1.711, 38, 2 1 3

Structural model:
```
data_K2AcAg3O6
_chemical_formula_sum 'K2 Ac1 Ag3 O6'
_cell_length_a 4.171
_cell_length_b 4.171
_cell_length_c 12.907
_cell_angle_alpha 90.00
_cell_angle_beta 90.00
_cell_angle_gamma 90.00
_space_group_name_H-M_alt 'P 4/m m m'
_space_group_IT_number 123
_space_group_name_Hall '-P 4 2'
loop_
_atom_site_label
_atom_site_fract_x
_atom_site_fract_y
_atom_site_fract_z
K1 0.000 0.000 0.193
Ac1 0.000 0.000 0.500
Ag1 0.500 0.500 0.000
Ag2 0.500 0.500 0.344
O1 0.000 0.500 0.378
O2 0.500 0.500 0.152
```

=====

No. 4
Starting from a DFT-relaxed cell (GGA-PBE, Alexandria), the powder diffractogram of Ac2LaAg3 was computed for CuKα.

Main lines, in order of rising 2θ (2θ = 10–80°):
d [Å], I/Imax, (hkl)
3.916, 8, 0 0 3
2.769, 100, 1 1 0
1.956, 12, 2 0 0
1.599, 37, 2 1 3
1.385, 7, 2 0 6
1.237, 11, 3 1 0

Structural model:
```
data_Ac2LaAg3
_chemical_formula_sum 'Ac2 La1 Ag3'
_cell_length_a 3.913
_cell_length_b 3.913
_cell_length_c 11.770
_cell_angle_alpha 90.00
_cell_angle_beta 90.00
_cell_angle_gamma 90.00
_space_group_name_H-M_alt 'P 4/m m m'
_space_group_IT_number 123
_space_group_name_Hall '-P 4 2'
loop_
_atom_site_label
_atom_site_fract_x
_atom_site_fract_y
_atom_site_fract_z
Ac1 0.000 0.000 0.170
La1 0.000 0.000 0.500
Ag1 0.500 0.500 0.000
Ag2 0.500 0.500 0.345
```

=====

No. 5
Starting from a DFT-relaxed cell (GGA-PBE, Alexandria), the powder diffractogram of AcLaAg was computed for CuKα.

Main lines, in order of rising 2θ (2θ = 10–80°):
d [Å], I/Imax, (hkl)
3.077, 100, 3 1 1
3.060, 31, 0 1 2
3.044, 32, 0 0 3
2.879, 40, 4 1 0
2.860, 39, 2 1 2
2.059, 28, 0 2 0

Structural model:
```
data_AcLaAg
_chemical_formula_sum 'Ac6 La6 Ag6'
_cell_length_a 16.109
_cell_length_b 4.118
_cell_length_c 9.143
_cell_angle_alpha 90.00
_cell_angle_beta 90.00
_cell_angle_gamma 90.00
_space_group_name_H-M_alt 'P m m a'
_space_group_IT_number 51
loop_
_space_group_symop_operation_xyz
'x,y,z'
'-x,-y,-z'
'-x+1/2,-y,z'
'x+1/2,y,-z'
'x+1/2,-y,-z'
'-x+1/2,y,z'
'-x,y,-z'
'x,-y,z'
loop_
_atom_site_label
_atom_site_fract_x
_atom_site_fract_y
_atom_site_fract_z
Ac1 0.048 0.000 0.214
Ac2 0.250 0.000 0.842
La1 0.110 0.500 0.563
La2 0.250 0.500 0.199
Ag1 0.094 0.500 0.939
Ag2 0.250 0.000 0.457
```

=====

No. 6
Starting from a DFT-relaxed cell (GGA-PBE, Alexandria), the powder diffractogram of Ac3La12Ag was computed for CuKα.

Main lines, in order of rising 2θ (2θ = 10–80°):
d [Å], I/Imax, (hkl)
3.041, 100, 1 1 4
2.653, 36, 2 0 0
2.596, 15, 0 0 8
1.876, 13, 2 2 0
1.855, 22, 2 0 8
1.597, 30, 3 1 4

Structural model:
```
data_Ac3La12Ag
_chemical_formula_sum 'Ac3 La12 Ag1'
_cell_length_a 5.306
_cell_length_b 5.306
_cell_length_c 20.765
_cell_angle_alpha 90.00
_cell_angle_beta 90.00
_cell_angle_gamma 90.00
_space_group_name_H-M_alt 'P 4/m m m'
_space_group_IT_number 123
_space_group_name_Hall '-P 4 2'
loop_
_atom_site_label
_atom_site_fract_x
_atom_site_fract_y
_atom_site_fract_z
Ac1 0.000 0.000 0.000
Ac2 0.000 0.000 0.260
La1 0.000 0.500 0.129
La2 0.000 0.500 0.386
La3 0.500 0.500 0.000
La4 0.500 0.500 0.262
La5 0.500 0.500 0.500
Ag1 0.000 0.000 0.500
```

=====

No. 7
Starting from a DFT-relaxed cell (GGA-PBE, Alexandria), the powder diffractogram of Ac3La2Ag was computed for CuKα.

Main lines, in order of rising 2θ (2θ = 10–80°):
d [Å], I/Imax, (hkl)
3.190, 25, 1 5 0
3.127, 19, 0 6 0
3.029, 32, 2 0 0
2.936, 100, 1 3 1
1.730, 22, 3 3 1
1.680, 19, 2 8 1

Structural model:
```
data_Ac3La2Ag
_chemical_formula_sum 'Ac6 La4 Ag2'
_cell_length_a 6.059
_cell_length_b 18.764
_cell_length_c 3.977
_cell_angle_alpha 90.00
_cell_angle_beta 90.00
_cell_angle_gamma 90.00
_space_group_name_H-M_alt 'C m m m'
_space_group_IT_number 65
_space_group_name_Hall '-C 2 2'
loop_
_atom_site_label
_atom_site_fract_x
_atom_site_fract_y
_atom_site_fract_z
Ac1 0.000 0.000 0.000
Ac2 0.000 0.186 0.500
La1 0.000 0.364 0.000
Ag1 0.000 0.500 0.500
```

=====

No. 8
Starting from a DFT-relaxed cell (GGA-PBE, Alexandria), the powder diffractogram of Ac3La2Ag3 was computed for CuKα.

Main lines, in order of rising 2θ (2θ = 10–80°):
d [Å], I/Imax, (hkl)
2.912, 23, 0 0 8
2.856, 27, 0 2 0
2.834, 100, 1 1 4
2.039, 17, 0 2 8
1.666, 14, 1 1 12
1.645, 20, 1 3 4

Structural model:
```
data_Ac3La2Ag3
_chemical_formula_sum 'Ac6 La4 Ag6'
_cell_length_a 3.942
_cell_length_b 5.711
_cell_length_c 23.294
_cell_angle_alpha 90.00
_cell_angle_beta 90.00
_cell_angle_gamma 90.00
_space_group_name_H-M_alt 'I m m m'
_space_group_IT_number 71
_space_group_name_Hall '-I 2 2'
loop_
_atom_site_label
_atom_site_fract_x
_atom_site_fract_y
_atom_site_fract_z
Ac1 0.000 0.000 0.000
Ac2 0.000 0.500 0.120
La1 0.000 0.000 0.232
Ag1 0.000 0.000 0.500
Ag2 0.000 0.500 0.379
```

=====

No. 9
Starting from a DFT-relaxed cell (GGA-PBE, Alexandria), the powder diffractogram of Ac5LaAg4 was computed for CuKα.

Main lines, in order of rising 2θ (2θ = 10–80°):
d [Å], I/Imax, (hkl)
3.949, 13, 1 0 0
2.898, 100, 1 0 5
2.792, 60, 1 1 0
2.642, 19, 1 0 6
1.974, 22, 2 0 0
1.632, 37, 2 1 5

Structural model:
```
data_Ac5LaAg4
_chemical_formula_sum 'Ac5 La1 Ag4'
_cell_length_a 3.949
_cell_length_b 3.949
_cell_length_c 21.331
_cell_angle_alpha 90.00
_cell_angle_beta 90.00
_cell_angle_gamma 90.00
_space_group_name_H-M_alt 'P 4/m m m'
_space_group_IT_number 123
_space_group_name_Hall '-P 4 2'
loop_
_atom_site_label
_atom_site_fract_x
_atom_site_fract_y
_atom_site_fract_z
Ac1 0.000 0.000 0.000
Ac2 0.000 0.000 0.188
Ac3 0.000 0.000 0.373
La1 0.500 0.500 0.500
Ag1 0.500 0.500 0.093
Ag2 0.500 0.500 0.281
```

=====

No. 10
Starting from a DFT-relaxed cell (GGA-PBE, Alexandria), the powder diffractogram of AcLa2Ag2Pb2 was computed for CuKα.

Main lines, in order of rising 2θ (2θ = 10–80°):
d [Å], I/Imax, (hkl)
3.713, 23, 1 0 4
2.970, 100, 1 0 7
2.754, 24, 0 1 8
2.514, 92, 1 1 0
1.919, 29, 0 2 7
1.525, 27, 2 1 7

Structural model:
```
data_AcLa2Ag2Pb2
_chemical_formula_sum 'Ac3 La6 Ag6 Pb6'
_cell_length_a 5.0279
_cell_length_b 5.0279
_cell_length_c 28.4381
_cell_angle_alpha 90.00
_cell_angle_beta 90.00
_cell_angle_gamma 120.00
_space_group_name_H-M_alt 'R -3 m'
_space_group_IT_number 166
_space_group_name_Hall '-R 3 2"'
loop_
_atom_site_label
_atom_site_fract_x
_atom_site_fract_y
_atom_site_fract_z
Ac1 0.0000 0.0000 0.0000
La1 0.0000 0.0000 0.1393
Ag1 0.0000 0.0000 0.4365
Pb1 0.0000 0.0000 0.2639
```

=====

No. 11
Starting from a DFT-relaxed cell (GGA-PBE, Alexandria), the powder diffractogram of AcLaPmAg was computed for CuKα.

Main lines, in order of rising 2θ (2θ = 10–80°):
d [Å], I/Imax, (hkl)
3.525, 17, 1 0 1
2.919, 100, 1 0 2
2.708, 48, 1 1 0
1.915, 17, 2 0 0
1.733, 13, 1 1 4
1.601, 33, 2 1 2

Structural model:
```
data_AcLaPmAg
_chemical_formula_sum 'Ac1 La1 Pm1 Ag1'
_cell_length_a 3.830
_cell_length_b 3.830
_cell_length_c 9.021
_cell_angle_alpha 90.00
_cell_angle_beta 90.00
_cell_angle_gamma 90.00
_space_group_name_H-M_alt 'P 4 m m'
_space_group_IT_number 99
loop_
_space_group_symop_operation_xyz
'x,y,z'
'-y,x,z'
'-x,-y,z'
'y,-x,z'
'-x,y,z'
'y,x,z'
'x,-y,z'
'-y,-x,z'
loop_
_atom_site_label
_atom_site_fract_x
_atom_site_fract_y
_atom_site_fract_z
Ac1 0.000 0.000 0.000
La1 0.500 0.500 0.699
Pm1 0.500 0.500 0.290
Ag1 0.000 0.000 0.484
```

=====

No. 12
Starting from a DFT-relaxed cell (GGA-PBE, Alexandria), the powder diffractogram of AcLaAg2Se4 was computed for CuKα.

Main lines, in order of rising 2θ (2θ = 10–80°):
d [Å], I/Imax, (hkl)
3.238, 100, 1 1 2
2.757, 28, 0 2 2
2.734, 27, 2 0 2
2.589, 94, 2 2 0
2.032, 27, 1 3 2
2.013, 27, 3 1 2

Structural model:
```
data_AcLaAg2Se4
_chemical_formula_sum 'Ac2 La2 Ag4 Se8'
_cell_length_a 7.269
_cell_length_b 7.379
_cell_length_c 8.297
_cell_angle_alpha 90.00
_cell_angle_beta 90.00
_cell_angle_gamma 90.00
_space_group_name_H-M_alt 'I 2 2 2'
_space_group_IT_number 23
loop_
_space_group_symop_operation_xyz
'x,y,z'
'-x,-y,z'
'x,-y,-z'
'-x,y,-z'
'x+1/2,y+1/2,z+1/2'
'-x+1/2,-y+1/2,z+1/2'
'x+1/2,-y+1/2,-z+1/2'
'-x+1/2,y+1/2,-z+1/2'
loop_
_atom_site_label
_atom_site_fract_x
_atom_site_fract_y
_atom_site_fract_z
Ac1 0.000 0.000 0.000
La1 0.000 0.000 0.500
Ag1 0.000 0.500 0.171
Se1 0.241 0.238 0.304
```

=====

No. 13
Starting from a DFT-relaxed cell (GGA-PBE, Alexandria), the powder diffractogram of AcLaSiAg was computed for CuKα.

Main lines, in order of rising 2θ (2θ = 10–80°):
d [Å], I/Imax, (hkl)
4.426, 12, 1 1 1
3.833, 22, 2 0 0
2.711, 100, 2 2 0
1.917, 18, 4 0 0
1.565, 38, 4 2 2
1.212, 16, 6 2 0

Structural model:
```
data_AcLaSiAg
_chemical_formula_sum 'Ac4 La4 Si4 Ag4'
_cell_length_a 7.667
_cell_length_b 7.667
_cell_length_c 7.667
_cell_angle_alpha 90.00
_cell_angle_beta 90.00
_cell_angle_gamma 90.00
_space_group_name_H-M_alt 'F -4 3 m'
_space_group_IT_number 216
_space_group_name_Hall 'F -4 2 3'
loop_
_atom_site_label
_atom_site_fract_x
_atom_site_fract_y
_atom_site_fract_z
Ac1 0.000 0.000 0.000
La1 0.000 0.000 0.500
Si1 0.250 0.250 0.250
Ag1 0.250 0.250 0.750
```

=====

No. 14
Starting from a DFT-relaxed cell (GGA-PBE, Alexandria), the powder diffractogram of AcLaTlAg was computed for CuKα.

Main lines, in order of rising 2θ (2θ = 10–80°):
d [Å], I/Imax, (hkl)
2.832, 100, 1 0 2
2.771, 48, 1 1 0
1.959, 18, 2 0 0
1.647, 18, 1 1 4
1.611, 37, 2 1 2
1.416, 11, 2 0 4

Structural model:
```
data_AcLaTlAg
_chemical_formula_sum 'Ac1 La1 Tl1 Ag1'
_cell_length_a 3.918
_cell_length_b 3.918
_cell_length_c 8.196
_cell_angle_alpha 90.00
_cell_angle_beta 90.00
_cell_angle_gamma 90.00
_space_group_name_H-M_alt 'P 4 m m'
_space_group_IT_number 99
loop_
_space_group_symop_operation_xyz
'x,y,z'
'-y,x,z'
'-x,-y,z'
'y,-x,z'
'-x,y,z'
'y,x,z'
'x,-y,z'
'-y,-x,z'
loop_
_atom_site_label
_atom_site_fract_x
_atom_site_fract_y
_atom_site_fract_z
Ac1 0.000 0.000 0.000
La1 0.000 0.000 0.527
Tl1 0.500 0.500 0.277
Ag1 0.500 0.500 0.751
```